# BiTe
Simulated powder diffraction line list, copper Kα. Input: a PBE-relaxed structure.
Peak positions follow from Bragg's law for the DFT cell and can differ from measured ones.

Atomic structure:
```
BiTe
1.0
4.484 0.000 0.000
-2.242 3.883 0.000
0.000 0.000 24.827
Bi Te
6 6
direct
0.000 0.000 0.128
0.000 0.000 0.872
0.333 0.667 0.292
0.333 0.667 0.534
0.667 0.333 0.466
0.667 0.333 0.708
0.000 0.000 0.361
0.000 0.000 0.639
0.333 0.667 0.060
0.333 0.667 0.789
0.667 0.333 0.211
0.667 0.333 0.940
```

Most intense lines, 5 to 70 degrees two-theta, low angle first:
2θ/deg  Rel. int.
17.9  9
27.1  100
37.1  38
40.1  7
40.2  37
43.8  6
49.2  20
55.9  12
60.9  14
65.3  17

=====

# Ac2Ce4Sn3O2
Simulated powder diffraction line list, copper Kα. Input: a PBE-relaxed structure.
Peak positions follow from Bragg's law for the DFT cell and can differ from measured ones.

Atomic structure:
```
Ac2Ce4Sn3O2
1.0
-2.416 2.416 13.369
2.416 -2.416 13.369
2.416 2.416 -13.369
Ac Ce Sn O
2 4 3 2
direct
0.197 0.197 0.000
0.803 0.803 0.000
0.081 0.581 0.500
0.419 0.919 0.500
0.581 0.081 0.500
0.919 0.419 0.500
0.330 0.330 0.000
0.500 0.500 0.000
0.670 0.670 0.000
0.095 0.095 0.000
0.905 0.905 0.000
```

Most intense lines, 5 to 70 degrees two-theta, low angle first:
2θ/deg  Rel. int.
20.9  18
26.7  22
26.9  59
29.8  34
33.0  100
37.2  62
46.4  20
48.4  18
53.7  22
64.5  30

=====

# Ag2SnPb
Simulated powder diffraction line list, copper Kα. Input: a PBE-relaxed structure.
Peak positions follow from Bragg's law for the DFT cell and can differ from measured ones.

Atomic structure:
```
Ag2SnPb
1.0
4.944 0.000 0.000
0.000 7.442 0.000
-0.929 0.000 5.547
Ag Sn Pb
4 2 2
direct
0.234 0.052 0.398
0.234 0.448 0.398
0.766 0.552 0.602
0.766 0.948 0.602
0.305 0.750 0.740
0.695 0.250 0.260
0.113 0.250 0.880
0.887 0.750 0.120
```

Most intense lines, 5 to 70 degrees two-theta, low angle first:
2θ/deg  Rel. int.
18.2  25
25.3  44
28.9  81
34.5  69
35.8  100
36.6  44
38.9  36
39.8  38
40.0  29
42.9  62

=====

# CeY5As6
Simulated powder diffraction line list, copper Kα. Input: a PBE-relaxed structure.
Peak positions follow from Bragg's law for the DFT cell and can differ from measured ones.

Atomic structure:
```
CeY5As6
1.0
3.585 -6.208 0.000
3.585 6.208 0.000
-2.390 0.000 6.762
Ce Y As
1 5 6
direct
0.000 0.000 0.000
0.166 0.834 0.500
0.333 0.667 0.000
0.500 0.500 0.500
0.667 0.333 0.000
0.834 0.166 0.500
0.084 0.418 0.251
0.251 0.251 0.750
0.418 0.084 0.251
0.582 0.916 0.749
0.749 0.749 0.250
0.916 0.582 0.749
```

Most intense lines, 5 to 70 degrees two-theta, low angle first:
2θ/deg  Rel. int.
14.9  1
16.7  1
26.4  3
30.5  100
43.7  73
51.8  1
54.3  26
63.6  12

=====

# BaSrEuSbO6
Simulated powder diffraction line list, copper Kα. Input: a PBE-relaxed structure.
Peak positions follow from Bragg's law for the DFT cell and can differ from measured ones.

Atomic structure:
```
BaSrEuSbO6
1.0
0.000 4.276 4.276
4.276 0.000 4.276
4.276 4.276 0.000
Ba Sr Eu Sb O
1 1 1 1 6
direct
0.000 0.000 0.000
0.500 0.500 0.500
0.750 0.750 0.750
0.250 0.250 0.250
0.015 0.015 0.485
0.015 0.485 0.015
0.015 0.485 0.485
0.485 0.015 0.015
0.485 0.015 0.485
0.485 0.485 0.015
```

Most intense lines, 5 to 70 degrees two-theta, low angle first:
2θ/deg  Rel. int.
18.0  2
20.8  5
29.5  100
34.8  2
42.3  30
46.3  1
47.6  2
52.4  40
61.3  19
69.5  18

=====

# NaTl7Cd2
Simulated powder diffraction line list, copper Kα. Input: a PBE-relaxed structure.
Peak positions follow from Bragg's law for the DFT cell and can differ from measured ones.

Atomic structure:
```
NaTl7Cd2
1.0
5.191 0.000 0.000
-2.596 4.496 0.000
0.000 0.000 13.068
Na Tl Cd
1 7 2
direct
0.000 0.000 0.000
0.000 0.000 0.276
0.000 0.000 0.697
0.333 0.667 0.102
0.333 0.667 0.366
0.333 0.667 0.834
0.667 0.333 0.496
0.667 0.333 0.899
0.333 0.667 0.601
0.667 0.333 0.164
```

Most intense lines, 5 to 70 degrees two-theta, low angle first:
2θ/deg  Rel. int.
24.0  42
28.5  52
33.9  62
34.6  100
45.4  15
49.2  22
53.1  13
58.3  14
61.5  22
61.9  19

=====

# P4S3O6
Simulated powder diffraction line list, copper Kα. Input: a PBE-relaxed structure.
Peak positions follow from Bragg's law for the DFT cell and can differ from measured ones.

Atomic structure:
```
P4S3O6
1.0
13.053 0.000 0.000
0.000 8.792 0.000
-0.161 0.000 10.371
P S O
16 12 24
direct
0.132 0.015 0.330
0.132 0.485 0.830
0.210 0.058 0.594
0.210 0.442 0.094
0.266 0.711 0.944
0.266 0.789 0.444
0.346 0.083 0.373
0.346 0.417 0.873
0.654 0.583 0.127
0.654 0.917 0.627
0.734 0.211 0.556
0.734 0.289 0.056
0.790 0.558 0.906
0.790 0.942 0.406
0.868 0.515 0.170
0.868 0.985 0.670
0.020 0.045 0.216
0.020 0.455 0.716
0.296 0.580 0.450
0.296 0.920 0.950
0.459 0.184 0.303
0.459 0.316 0.803
0.541 0.684 0.197
0.541 0.816 0.697
0.704 0.080 0.050
0.704 0.420 0.550
0.980 0.545 0.284
0.980 0.955 0.784
0.120 0.074 0.478
0.120 0.426 0.978
0.169 0.661 0.852
0.169 0.839 0.352
0.239 0.097 0.289
0.239 0.403 0.789
0.239 0.627 0.078
0.239 0.873 0.578
0.309 0.133 0.515
0.309 0.367 0.015
0.357 0.602 0.888
0.357 0.898 0.388
0.643 0.102 0.612
0.643 0.398 0.112
0.691 0.633 0.985
0.691 0.867 0.485
0.761 0.127 0.422
0.761 0.373 0.922
0.761 0.597 0.211
0.761 0.903 0.711
0.831 0.161 0.648
0.831 0.339 0.148
0.880 0.574 0.022
0.880 0.926 0.522
```

Most intense lines, 5 to 70 degrees two-theta, low angle first:
2θ/deg  Rel. int.
13.2  100
13.6  52
14.9  22
18.3  29
18.9  13
20.9  15
21.3  17
22.0  51
24.3  23
42.6  19

=====

# Tl2Cu3S4
Simulated powder diffraction line list, copper Kα. Input: a PBE-relaxed structure.
Peak positions follow from Bragg's law for the DFT cell and can differ from measured ones.

Atomic structure:
```
Tl2Cu3S4
1.0
0.000 4.560 7.131
3.268 0.000 7.131
3.268 4.560 0.000
Tl Cu S
2 3 4
direct
0.193 0.193 0.807
0.807 0.807 0.193
0.000 0.000 0.500
0.500 0.500 0.000
0.500 0.500 0.500
0.200 0.585 0.415
0.415 0.800 0.200
0.585 0.200 0.800
0.800 0.415 0.585
```

Most intense lines, 5 to 70 degrees two-theta, low angle first:
2θ/deg  Rel. int.
23.2  60
25.1  100
27.3  28
30.1  24
33.7  39
35.7  34
37.7  49
42.4  20
51.6  20
55.4  26

=====

# PmSmDy
Simulated powder diffraction line list, copper Kα. Input: a PBE-relaxed structure.
Peak positions follow from Bragg's law for the DFT cell and can differ from measured ones.

Atomic structure:
```
PmSmDy
1.0
3.610 0.000 0.000
0.000 5.093 0.000
0.000 0.000 10.827
Pm Sm Dy
2 2 2
direct
0.000 0.000 0.000
0.500 0.500 0.500
0.000 0.000 0.667
0.500 0.500 0.167
0.000 0.000 0.333
0.500 0.500 0.833
```

Most intense lines, 5 to 70 degrees two-theta, low angle first:
2θ/deg  Rel. int.
30.4  100
35.2  51
50.6  36
60.1  29
60.2  14
63.1  12

=====

# TbSm3Zn8
Simulated powder diffraction line list, copper Kα. Input: a PBE-relaxed structure.
Peak positions follow from Bragg's law for the DFT cell and can differ from measured ones.

Atomic structure:
```
TbSm3Zn8
1.0
5.628 0.000 0.000
-2.814 4.874 0.000
0.000 0.000 8.675
Tb Sm Zn
1 3 8
direct
0.000 0.000 0.000
0.000 0.000 0.390
0.667 0.333 0.498
0.667 0.333 0.891
0.003 0.501 0.194
0.167 0.333 0.697
0.167 0.833 0.697
0.333 0.667 0.446
0.333 0.667 0.944
0.499 0.501 0.194
0.499 0.997 0.194
0.667 0.833 0.697
```

Most intense lines, 5 to 70 degrees two-theta, low angle first:
2θ/deg  Rel. int.
27.5  11
31.8  52
36.1  66
36.9  13
38.1  100
38.4  52
59.5  31
60.9  25
66.1  27
66.4  23

=====

# Ce3SiPd5
Simulated powder diffraction line list, copper Kα. Input: a PBE-relaxed structure.
Peak positions follow from Bragg's law for the DFT cell and can differ from measured ones.

Atomic structure:
```
Ce3SiPd5
1.0
-3.648 6.538 3.784
3.648 -6.538 3.784
3.648 6.538 -3.784
Ce Si Pd
6 2 10
direct
0.119 0.869 0.250
0.276 0.226 0.050
0.324 0.774 0.550
0.676 0.226 0.450
0.724 0.774 0.950
0.881 0.131 0.750
0.281 0.531 0.750
0.719 0.469 0.250
0.042 0.234 0.402
0.042 0.640 0.807
0.333 0.234 0.693
0.333 0.640 0.098
0.500 0.000 0.000
0.500 0.500 0.500
0.667 0.360 0.902
0.667 0.766 0.307
0.958 0.360 0.193
0.958 0.766 0.598
```

Most intense lines, 5 to 70 degrees two-theta, low angle first:
2θ/deg  Rel. int.
33.7  24
34.2  100
36.3  60
36.9  56
38.9  16
41.4  29
44.2  12
56.6  14
63.3  12
67.4  14

=====

# PrAl12Au4
Simulated powder diffraction line list, copper Kα. Input: a PBE-relaxed structure.
Peak positions follow from Bragg's law for the DFT cell and can differ from measured ones.

Atomic structure:
```
PrAl12Au4
1.0
-4.466 4.466 4.466
4.466 -4.466 4.466
4.466 4.466 -4.466
Pr Al Au
1 12 4
direct
0.000 0.000 0.000
0.154 0.504 0.350
0.154 0.804 0.650
0.196 0.350 0.846
0.350 0.154 0.504
0.350 0.846 0.196
0.496 0.650 0.846
0.504 0.350 0.154
0.650 0.154 0.804
0.650 0.846 0.496
0.804 0.650 0.154
0.846 0.196 0.350
0.846 0.496 0.650
0.000 0.000 0.500
0.000 0.500 0.000
0.500 0.000 0.000
0.500 0.500 0.500
```

Most intense lines, 5 to 70 degrees two-theta, low angle first:
2θ/deg  Rel. int.
19.9  56
28.3  100
31.7  14
34.8  19
37.7  11
40.4  20
45.4  41
50.0  56
58.4  12
66.2  22